(1)
Starting from a DFT-relaxed cell (GGA-PBE, OQMD), the powder X-ray diffraction pattern of Nd2Dy2CI3Cl2 was simulated for Cu Kα, 1.54184 Å.
Neutral-atom scattering factors, no anomalous dispersion.

Main lines, by intensity (15 to 90 degrees two-theta):
2θ/deg	I_rel	hkl
30.8	100	1 1 -2
30.6	32	3 1 1
28.0	24	3 1 -1
44.3	21	7 1 -2
43.9	18	5 1 2
35.9	18	2 0 3
56.4	16	6 2 0
33.9	15	4 0 -3
20.7	13	4 0 -1
46.0	13	0 2 0

Structure:
Lattice parameters (Å, degrees): 17.900 3.945 8.604 90.00 103.20 90.00
Space group C2/m (No. 12)
Unique sites:
1 Nd 0.144 0.000 0.071 x4
2 Dy 0.004 0.500 0.812 x4
3 C 0.000 0.000 0.000 x2
4 I 0.000 0.000 0.500 x2
5 I 0.168 0.500 0.359 x4
6 Cl 0.165 0.500 0.841 x4

=====

(2)
Starting from a DFT-relaxed cell (GGA-PBE, OQMD), the powder X-ray diffraction pattern of Pr2Dy2CICl4 was simulated for Cu Kα, 1.54184 Å.
Neutral-atom scattering factors, no anomalous dispersion.

Main lines, by intensity (15 to 90 degrees two-theta):
2θ/deg	I_rel	hkl
31.3	100	1 1 -2
31.9	51	6 0 0
31.7	38	3 1 1
28.5	34	3 1 -1
45.8	31	5 1 2
44.8	29	7 1 -2
32.9	22	0 0 3
37.4	21	2 0 3
28.1	19	3 1 0
34.0	19	4 0 -3

Structure:
Lattice parameters (Å, degrees): 17.512 3.858 8.485 90.00 105.89 90.00
Space group C2/m (No. 12)
Unique sites:
1 Pr 0.150 0.000 0.086 x4
2 Dy 0.000 0.500 0.192 x4
3 C 0.000 0.000 0.000 x2
4 I 0.000 0.000 0.500 x2
5 Cl 0.161 0.500 0.337 x4
6 Cl 0.164 0.500 0.841 x4

=====

(3)
Starting from a DFT-relaxed cell (GGA-PBE, OQMD), the powder X-ray diffraction pattern of Dy2Sc2CI3Cl2 was simulated for Cu Kα, 1.54184 Å.
Neutral-atom scattering factors, no anomalous dispersion.

Main lines, by intensity (15 to 90 degrees two-theta):
2θ/deg	I_rel	hkl
32.3	100	1 1 -2
35.0	41	5 1 -1
24.7	41	4 0 1
30.3	37	6 0 0
31.2	22	3 1 1
44.2	21	5 1 2
26.1	20	1 1 -1
45.6	19	7 1 -2
47.8	19	0 2 0
29.1	18	3 1 -1

Structure:
Lattice parameters (Å, degrees): 17.993 3.807 8.079 90.00 100.43 90.00
Space group C2/m (No. 12)
Unique sites:
1 Dy 0.133 0.000 0.068 x4
2 Sc 0.002 0.500 0.817 x4
3 C 0.000 0.000 0.000 x2
4 I 0.000 0.000 0.500 x2
5 I 0.171 0.500 0.800 x4
6 Cl 0.145 0.500 0.309 x4

=====

(4)
Starting from a DFT-relaxed cell (GGA-PBE, OQMD), the powder X-ray diffraction pattern of Dy2Y2CI2Cl3 was simulated for Cu Kα, 1.54184 Å.
Neutral-atom scattering factors, no anomalous dispersion.

Main lines, by intensity (15 to 90 degrees two-theta):
2θ/deg	I_rel	hkl
32.6	100	1 1 -2
34.2	38	5 1 0
29.7	37	6 0 0
26.1	36	1 1 -1
34.7	31	5 1 -1
24.5	26	4 0 1
44.1	23	5 1 2
47.6	20	0 2 0
34.4	19	6 0 -2
45.4	16	7 1 -2

Structure:
Lattice parameters (Å, degrees): 18.304 3.818 7.896 90.00 100.12 90.00
Space group C2/m (No. 12)
Unique sites:
1 Dy 0.133 0.000 0.069 x4
2 Y 0.002 0.500 0.792 x4
3 C 0.000 0.000 0.000 x2
4 I 0.175 0.500 0.797 x4
5 Cl 0.000 0.000 0.500 x2
6 Cl 0.149 0.500 0.319 x4